Structure and theoretical powder diffraction line list of TlBiMo2O8 (a crystal structure in the Materials Project, relaxed with GGA+U; copper Kα).

Main lines, sorted by position (2θ from 10° to 90°):
- 26.39 deg, I = 100.0, (2 2 -1)
- 27.23 deg, I = 92.1, (2 2 1)
- 29.22 deg, I = 30.0, (0 4 0)
- 30.43 deg, I = 26.0, (4 0 0)
- 33.38 deg, I = 20.6, (0 0 2)
- 42.69 deg, I = 27.6, (4 4 0)
- 44.95 deg, I = 25.1, (0 4 2)
- 50.12 deg, I = 15.1, (2 6 -1)
- 50.61 deg, I = 14.5, (2 6 1)
- 51.18 deg, I = 13.2, (6 2 -1)

```
data_TlBiMo2O8
_cell_length_a 11.760
_cell_length_b 12.223
_cell_length_c 5.374
_cell_angle_alpha 90.00
_cell_angle_beta 92.51
_cell_angle_gamma 90.00
_symmetry_space_group_name_H-M 'P 1 21/c 1'
_symmetry_Int_Tables_number 14
_symmetry_space_group_name_Hall '-P 2ybc'
loop_
_atom_site_label
_atom_site_fract_x
_atom_site_fract_y
_atom_site_fract_z
_atom_site_occupancy
Tl1 0.122 0.124 0.484 1
Bi1 0.379 0.624 0.992 1
Mo1 0.155 0.646 0.494 1
Mo2 0.387 0.114 0.978 1
O1 0.059 0.728 0.661 1
O2 0.077 0.550 0.313 1
O3 0.229 0.563 0.738 1
O4 0.276 0.709 0.314 1
O5 0.277 0.198 0.079 1
O6 0.323 0.027 0.737 1
O7 0.449 0.040 0.249 1
O8 0.499 0.697 0.648 1
```